For Li7Pd2Au, a structure optimized by DFT (GGA-PBE) gives the simulated X-ray powder pattern in this record (a wavelength of 1.5418 Å).

Top 10 peaks for 2θ = 15–90°, low angle first:
(hkl)  d/Å  two_theta  I (rel.)
0 0 2  4.729  18.77  20
1 0 1  3.491  25.52  100
0 1 2  2.941  30.39  55
1 0 3  2.415  37.24  40
1 1 0  2.168  41.65  37
0 1 4  2.001  45.32  26
1 1 2  1.971  46.05  12
0 2 1  1.842  49.49  17
2 0 2  1.745  52.43  12
2 1 1  1.404  66.62  14

Lattice parameters (Å, degrees): 4.337 4.337 9.457 90.00 90.00 120.00
Atoms (fractional coordinates):
Li  0.000  0.000  0.000
Li  0.000  0.000  0.239
Li  0.000  0.000  0.747
Li  0.333  0.667  0.435
Li  0.333  0.667  0.835
Li  0.667  0.333  0.283
Li  0.667  0.333  0.610
Pd  0.000  0.000  0.492
Pd  0.667  0.333  0.935
Au  0.333  0.667  0.122